# BaLa2Fe2O5F4
Computed PXRD pattern, Cu Kα (weighted mean of Kα1 and Kα2). Input: a structure optimized by DFT (GGA+U).
Peak positions follow from Bragg's law for the DFT cell and can differ from measured ones.

Principal peaks in the range 10° ≤ 2θ ≤ 90°, by intensity:
- 2θ 29.89, I 100.0, (1 0 5)
- 2θ 31.45, I 61.5, (1 1 0)
- 2θ 39.89, I 47.6, (1 1 6)
- 2θ 45.07, I 45.6, (2 0 0)
- 2θ 55.03, I 36.1, (2 1 5)
- 2θ 35.93, I 18.8, (1 0 7)
- 2θ 22.46, I 16.6, (1 0 1)
- 2θ 59.35, I 15.5, (1 1 12)
- 2θ 68.72, I 14.1, (2 0 12)
- 2θ 23.91, I 13.8, (0 0 6)

Atomic structure:
abc: 4.023 4.023 22.331
angles: 90.00 90.00 90.00
Space group I4/mmm (No. 139)
One atom of each set of equivalent atoms:
Ba1 0.000 0.000 0.000 (multiplicity 2)
La1 0.000 0.000 0.177 (multiplicity 4)
Fe1 0.000 0.000 0.411 (multiplicity 4)
O1 0.000 0.000 0.500 (multiplicity 2)
O2 0.000 0.500 0.102 (multiplicity 8)
F1 0.000 0.000 0.320 (multiplicity 4)
F2 0.000 0.500 0.250 (multiplicity 4)